(1)
Diffraction record for KAc3Os. The powder XRD pattern is theoretical, not measured: it uses a crystal structure in Alexandria, relaxed with PBE and CuKα.
Kinematic intensities with the Lorentz-polarization factor, no thermal factor.

Structure:
```
KAc3Os
1.0
6.004 0.000 0.000
0.000 6.004 0.000
0.000 0.000 6.004
K Ac Os
1 3 1
direct
0.000 0.000 0.000
0.000 0.500 0.500
0.500 0.000 0.500
0.500 0.500 0.000
0.500 0.500 0.500
```

Peak list (10 most intense, 2θ from 10° to 90°, most intense first)
2θ 29.76, d 3.002, I 100.0
2θ 14.76, d 6.004, I 86.6
2θ 42.59, d 2.123, I 76.7
2θ 25.70, d 3.466, I 64.9
2θ 33.37, d 2.685, I 50.4
2θ 70.10, d 1.342, I 35.8
2θ 50.41, d 1.810, I 31.9
2θ 45.32, d 2.001, I 27.8
2θ 52.82, d 1.733, I 27.5
2θ 77.97, d 1.225, I 26.8


(2)
Diffraction record for Li4U3S8. The powder XRD pattern is theoretical, not measured: it uses a crystal structure in Alexandria, relaxed with PBE and CuKα.
Kinematic intensities with the Lorentz-polarization factor, no thermal factor.

Structure:
```
Li4U3S8
1.0
5.255 -5.414 0.000
5.255 5.414 0.000
-5.208 0.000 5.492
Li U S
4 3 8
direct
0.000 0.000 0.000
0.000 0.500 0.000
0.500 0.000 0.000
0.500 0.500 0.500
0.000 0.500 0.500
0.500 0.000 0.500
0.500 0.500 0.000
0.246 0.754 0.000
0.247 0.247 0.500
0.256 0.744 0.500
0.270 0.270 0.017
0.730 0.730 0.983
0.744 0.256 0.500
0.753 0.753 0.500
0.754 0.246 0.000
```

Peak list (10 most intense, 2θ from 10° to 90°, most intense first)
2θ 16.87, d 5.255, I 100.0
2θ 23.07, d 3.856, I 97.4
2θ 14.24, d 6.219, I 65.5
2θ 32.61, d 2.746, I 43.4
2θ 33.09, d 2.707, I 41.7
2θ 34.13, d 2.627, I 38.2
2θ 47.14, d 1.928, I 30.4
2θ 37.37, d 2.407, I 29.2
2θ 48.27, d 1.885, I 28.3
2θ 28.63, d 3.118, I 23.6


(3)
Diffraction record for TiI3. The powder XRD pattern is theoretical, not measured: it uses a crystal structure in Alexandria, relaxed with PBE and CuKα.
Kinematic intensities with the Lorentz-polarization factor, no thermal factor.

Structure:
```
TiI3
1.0
7.757 0.000 0.000
-3.879 6.718 0.000
0.000 0.000 6.507
Ti I
2 6
direct
0.000 0.000 0.000
0.000 0.000 0.500
0.000 0.293 0.250
0.000 0.707 0.750
0.293 0.000 0.250
0.293 0.293 0.750
0.707 0.000 0.750
0.707 0.707 0.250
```

Peak list (10 most intense, 2θ from 10° to 90°, most intense first)
2θ 26.76, d 3.332, I 100.0
2θ 13.18, d 6.718, I 33.4
2θ 36.03, d 2.493, I 23.7
2θ 40.27, d 2.239, I 22.1
2θ 48.06, d 1.893, I 19.7
2θ 27.41, d 3.254, I 17.9
2θ 38.04, d 2.365, I 16.8
2θ 49.41, d 1.845, I 13.2
2θ 22.93, d 3.879, I 12.4
2θ 49.01, d 1.859, I 11.4


(4)
Diffraction record for SrCa3Bi4. The powder XRD pattern is theoretical, not measured: it uses a crystal structure in Alexandria, relaxed with PBE and CuKα.
Kinematic intensities with the Lorentz-polarization factor, no thermal factor.

Structure:
```
SrCa3Bi4
1.0
3.896 0.000 0.000
0.000 7.797 0.000
0.000 0.000 18.562
Sr Ca Bi
2 6 8
direct
0.000 0.000 0.000
0.500 0.500 0.500
0.000 0.000 0.500
0.000 0.500 0.284
0.000 0.500 0.716
0.500 0.000 0.216
0.500 0.000 0.784
0.500 0.500 0.000
0.000 0.288 0.130
0.000 0.288 0.870
0.000 0.712 0.130
0.000 0.712 0.870
0.500 0.212 0.370
0.500 0.212 0.630
0.500 0.788 0.370
0.500 0.788 0.630
```

Peak list (10 most intense, 2θ from 10° to 90°, most intense first)
2θ 29.93, d 2.985, I 100.0
2θ 23.33, d 3.813, I 76.7
2θ 19.13, d 4.640, I 67.4
2θ 35.66, d 2.517, I 65.5
2θ 27.05, d 3.297, I 43.7
2θ 32.85, d 2.726, I 42.3
2θ 41.18, d 2.192, I 34.3
2θ 56.40, d 1.631, I 34.1
2θ 22.81, d 3.899, I 30.0
2θ 64.81, d 1.438, I 29.5


(5)
Diffraction record for TbDy2Zn2. The powder XRD pattern is theoretical, not measured: it uses a crystal structure in Alexandria, relaxed with PBE and CuKα.
Kinematic intensities with the Lorentz-polarization factor, no thermal factor.

Structure:
```
TbDy2Zn2
1.0
2.648 -7.619 0.000
2.648 7.619 0.000
0.000 0.000 6.155
Tb Dy Zn
2 4 4
direct
0.083 0.917 0.500
0.917 0.083 0.000
0.299 0.701 0.249
0.457 0.543 0.656
0.543 0.457 0.156
0.701 0.299 0.749
0.122 0.878 0.989
0.275 0.725 0.757
0.725 0.275 0.257
0.878 0.122 0.489
```

Peak list (10 most intense, 2θ from 10° to 90°, most intense first)
2θ 33.90, d 2.645, I 100.0
2θ 34.21, d 2.621, I 59.4
2θ 28.34, d 3.149, I 39.7
2θ 37.04, d 2.427, I 30.6
2θ 27.54, d 3.239, I 24.1
2θ 31.35, d 2.853, I 22.4
2θ 37.57, d 2.394, I 17.4
2θ 46.81, d 1.941, I 14.7
2θ 54.46, d 1.685, I 14.2
2θ 51.46, d 1.776, I 13.9


(6)
Diffraction record for Cu10Ni2Au. The powder XRD pattern is theoretical, not measured: it uses a crystal structure in Alexandria, relaxed with PBE and CuKα.
Kinematic intensities with the Lorentz-polarization factor, no thermal factor.

Structure:
```
Cu10Ni2Au
1.0
0.000 5.872 5.882
2.381 0.000 5.882
2.381 5.872 0.000
Cu Ni Au
10 2 1
direct
0.000 0.500 0.000
0.001 0.784 0.216
0.150 0.503 0.497
0.216 0.999 0.001
0.497 0.850 0.150
0.500 0.000 0.500
0.503 0.150 0.850
0.784 0.001 0.999
0.850 0.497 0.503
0.999 0.216 0.784
0.000 0.000 0.500
0.500 0.500 0.000
0.500 0.500 0.500
```

Peak list (10 most intense, 2θ from 10° to 90°, most intense first)
2θ 43.60, d 2.076, I 100.0
2θ 43.83, d 2.066, I 43.2
2θ 37.56, d 2.395, I 34.8
2θ 30.51, d 2.930, I 20.4
2θ 80.14, d 1.198, I 19.7
2θ 49.26, d 1.850, I 14.5
2θ 72.28, d 1.307, I 13.7
2θ 37.79, d 2.381, I 11.7
2θ 34.11, d 2.629, I 10.1
2θ 15.07, d 5.877, I 7.5